# Ca2Sn
Simulated X-ray diffraction stick pattern, CuKα. Input: a crystal structure in the Materials Project, relaxed with GGA-PBE.
Kinematic intensities with the Lorentz-polarization factor, no thermal factor.

Main lines, in order of falling intensity (10° ≤ 2θ ≤ 90°):
33.48 deg, I 100; 20.32 deg, I 79; 39.47 deg, I 45; 59.84 deg, I 36; 52.70 deg, I 20; 48.07 deg, I 18; 80.18 deg, I 16; 74.08 deg, I 15; 63.89 deg, I 15; 70.34 deg, I 11

Crystal structure
Cell lengths 5.3537, 5.3537, 5.3537 Å; angles 60.00, 60.00, 60.00 degrees
Atoms (fractional coordinates):
Ca (0.2500, 0.2500, 0.2500)
Ca (0.7500, 0.7500, 0.7500)
Sn (0.0000, 0.0000, 0.0000)